Computed powder XRD pattern of K2AgRuF6 for CuKα, from a DFT-relaxed cell (PBE, the Materials Project).
Kinematic intensities with the Lorentz-polarization factor, no thermal factor.

Structure:
```
data_K2AgRuF6
_cell_length_a 6.231
_cell_length_b 6.231
_cell_length_c 6.231
_cell_angle_alpha 60.00
_cell_angle_beta 60.00
_cell_angle_gamma 60.00
_symmetry_space_group_name_H-M 'P 1'
_symmetry_Int_Tables_number 1
loop_
_symmetry_equiv_pos_as_xyz
'x,y,z'
loop_
_atom_site_label
_atom_site_fract_x
_atom_site_fract_y
_atom_site_fract_z
K1 0.250 0.250 0.250
K2 0.750 0.750 0.750
Ag1 0.000 0.000 0.000
Ru1 0.500 0.500 0.500
F1 0.270 0.270 0.730
F2 0.270 0.730 0.270
F3 0.270 0.730 0.730
F4 0.730 0.270 0.270
F5 0.730 0.270 0.730
F6 0.730 0.730 0.270
```

Most intense lines, 5 to 70 degrees two-theta, in order of rising 2θ:
two_theta	d (Å)	I_rel
20.2	4.406	54
28.7	3.115	100
41.0	2.203	45
44.8	2.021	1
46.1	1.970	23
50.8	1.799	38
54.1	1.696	1
59.3	1.558	26
63.3	1.469	10
67.2	1.393	17

Computed powder XRD pattern of K2AgSbF6 for CuKα, from a DFT-relaxed cell (PBE, the Materials Project).
Kinematic intensities with the Lorentz-polarization factor, no thermal factor.

Structure:
```
data_K2AgSbF6
_cell_length_a 6.532
_cell_length_b 6.532
_cell_length_c 6.532
_cell_angle_alpha 60.00
_cell_angle_beta 60.00
_cell_angle_gamma 60.00
_symmetry_space_group_name_H-M 'P 1'
_symmetry_Int_Tables_number 1
loop_
_symmetry_equiv_pos_as_xyz
'x,y,z'
loop_
_atom_site_label
_atom_site_fract_x
_atom_site_fract_y
_atom_site_fract_z
K1 0.250 0.250 0.250
K2 0.750 0.750 0.750
Ag1 0.000 0.000 0.000
Sb1 0.500 0.500 0.500
F1 0.263 0.263 0.737
F2 0.263 0.737 0.263
F3 0.263 0.737 0.737
F4 0.737 0.263 0.263
F5 0.737 0.263 0.737
F6 0.737 0.737 0.263
```

Most intense lines, 5 to 70 degrees two-theta, in order of rising 2θ:
two_theta	d (Å)	I_rel
16.6	5.333	1
19.2	4.619	56
27.3	3.266	100
39.0	2.309	46
43.8	2.066	26
48.3	1.886	40
56.3	1.633	28
60.1	1.540	12
63.7	1.461	18
67.2	1.393	1

Computed powder XRD pattern of K2TaAgF6 for CuKα, from a DFT-relaxed cell (PBE, the Materials Project).
Kinematic intensities with the Lorentz-polarization factor, no thermal factor.

Structure:
```
data_K2TaAgF6
_cell_length_a 7.215
_cell_length_b 7.215
_cell_length_c 7.215
_cell_angle_alpha 60.00
_cell_angle_beta 60.00
_cell_angle_gamma 60.00
_symmetry_space_group_name_H-M 'P 1'
_symmetry_Int_Tables_number 1
loop_
_symmetry_equiv_pos_as_xyz
'x,y,z'
loop_
_atom_site_label
_atom_site_fract_x
_atom_site_fract_y
_atom_site_fract_z
K1 0.250 0.250 0.250
K2 0.750 0.750 0.750
Ta1 0.000 0.000 0.000
Ag1 0.500 0.500 0.500
F1 0.189 0.189 0.811
F2 0.189 0.811 0.189
F3 0.189 0.811 0.811
F4 0.811 0.189 0.189
F5 0.811 0.189 0.811
F6 0.811 0.811 0.189
```

Most intense lines, 5 to 70 degrees two-theta, in order of rising 2θ:
two_theta	d (Å)	I_rel
15.0	5.891	21
17.4	5.101	60
24.7	3.607	100
35.2	2.551	32
39.5	2.281	23
43.5	2.083	35
50.6	1.804	18
53.9	1.700	11
57.1	1.613	24
68.9	1.363	23

Computed powder XRD pattern of Li2AgF3 for CuKα, from a DFT-relaxed cell (PBE, the Materials Project).
Kinematic intensities with the Lorentz-polarization factor, no thermal factor.

Structure:
```
data_Li2AgF3
_cell_length_a 9.218
_cell_length_b 5.499
_cell_length_c 5.449
_cell_angle_alpha 90.00
_cell_angle_beta 90.00
_cell_angle_gamma 90.00
_symmetry_space_group_name_H-M 'P 1'
_symmetry_Int_Tables_number 1
loop_
_symmetry_equiv_pos_as_xyz
'x,y,z'
loop_
_atom_site_label
_atom_site_fract_x
_atom_site_fract_y
_atom_site_fract_z
Li1 0.163 0.003 0.037
Li2 0.163 0.497 0.037
Li3 0.337 0.503 0.537
Li4 0.337 0.997 0.537
Li5 0.663 0.003 0.463
Li6 0.663 0.497 0.463
Li7 0.837 0.503 0.963
Li8 0.837 0.997 0.963
Ag1 0.011 0.250 0.541
Ag2 0.489 0.750 0.041
Ag3 0.511 0.250 0.959
Ag4 0.989 0.750 0.459
F1 0.003 0.750 0.007
F2 0.214 0.250 0.336
F3 0.222 0.750 0.336
F4 0.278 0.250 0.836
F5 0.286 0.750 0.836
F6 0.497 0.250 0.507
F7 0.503 0.750 0.493
F8 0.714 0.250 0.164
F9 0.722 0.750 0.164
F10 0.778 0.250 0.664
F11 0.786 0.750 0.664
F12 0.997 0.250 0.993
```

Most intense lines, 5 to 70 degrees two-theta, in order of rising 2θ:
two_theta	d (Å)	I_rel
18.9	4.690	100
19.3	4.609	51
32.6	2.750	46
33.5	2.676	23
37.9	2.372	44
38.1	2.361	35
38.4	2.345	37
39.1	2.304	23
51.2	1.784	36
51.8	1.766	22

Computed powder XRD pattern of Li2AgF3 for CuKα, from a DFT-relaxed cell (PBE, the Materials Project).
Kinematic intensities with the Lorentz-polarization factor, no thermal factor.

Structure:
```
data_Li2AgF3
_cell_length_a 5.458
_cell_length_b 5.458
_cell_length_c 5.520
_cell_angle_alpha 99.11
_cell_angle_beta 99.11
_cell_angle_gamma 119.78
_symmetry_space_group_name_H-M 'P 1'
_symmetry_Int_Tables_number 1
loop_
_symmetry_equiv_pos_as_xyz
'x,y,z'
loop_
_atom_site_label
_atom_site_fract_x
_atom_site_fract_y
_atom_site_fract_z
Li1 0.000 0.000 0.000
Li2 0.155 0.845 0.500
Li3 0.500 0.500 0.500
Li4 0.845 0.155 0.500
Ag1 0.323 0.677 0.000
Ag2 0.677 0.323 0.000
F1 0.106 0.406 0.306
F2 0.196 0.196 0.750
F3 0.406 0.106 0.306
F4 0.594 0.894 0.694
F5 0.804 0.804 0.250
F6 0.894 0.594 0.694
```

Most intense lines, 5 to 70 degrees two-theta, in order of rising 2θ:
two_theta	d (Å)	I_rel
16.9	5.238	100
18.8	4.721	30
19.5	4.553	28
22.0	4.032	24
25.4	3.507	35
33.3	2.692	82
34.5	2.601	28
40.1	2.250	78
40.5	2.230	37
44.1	2.053	29

Computed powder XRD pattern of Li2AgF3 for CuKα, from a DFT-relaxed cell (PBE, the Materials Project).
Kinematic intensities with the Lorentz-polarization factor, no thermal factor.

Structure:
```
data_Li2AgF3
_cell_length_a 5.362
_cell_length_b 5.362
_cell_length_c 5.394
_cell_angle_alpha 90.00
_cell_angle_beta 90.00
_cell_angle_gamma 61.81
_symmetry_space_group_name_H-M 'P 1'
_symmetry_Int_Tables_number 1
loop_
_symmetry_equiv_pos_as_xyz
'x,y,z'
loop_
_atom_site_label
_atom_site_fract_x
_atom_site_fract_y
_atom_site_fract_z
Li1 0.167 0.167 0.000
Li2 0.167 0.167 0.500
Li3 0.833 0.833 0.000
Li4 0.833 0.833 0.500
Ag1 0.468 0.532 0.750
Ag2 0.532 0.468 0.250
F1 0.058 0.942 0.750
F2 0.099 0.482 0.250
F3 0.482 0.099 0.750
F4 0.518 0.901 0.250
F5 0.901 0.518 0.750
F6 0.942 0.058 0.250
```

Most intense lines, 5 to 70 degrees two-theta, in order of rising 2θ:
two_theta	d (Å)	I_rel
18.8	4.726	100
19.3	4.601	50
33.2	2.697	40
33.4	2.680	25
38.1	2.363	40
38.4	2.342	41
38.7	2.327	21
39.2	2.300	21
51.4	1.777	36
52.3	1.750	19